Diffraction record for Sr5P3O12F. The XRD peak list is computed, not measured: it uses a structure optimized by DFT (GGA-PBE) and Cu Kα.
No peak broadening, texture or thermal motion is included.

Most intense lines, 10° ≤ 2θ ≤ 80°, by angle:
- 26.39 deg, I 18, hkl 1 0 2
- 27.68 deg, I 17, hkl 2 1 0
- 30.30 deg, I 100, hkl 1 1 2
- 31.47 deg, I 32, hkl 3 0 0
- 44.28 deg, I 19, hkl 2 2 2
- 45.60 deg, I 14, hkl 1 3 2
- 46.53 deg, I 21, hkl 2 1 3
- 49.41 deg, I 16, hkl 4 0 2

Unit cell a=9.847 b=9.847 c=7.357 alpha=90.00 beta=90.00 gamma=120.00
Positions (direct):
Sr (0.011, 0.253, 0.250)
Sr (0.242, 0.989, 0.250)
Sr (0.253, 0.242, 0.750)
Sr (0.333, 0.667, 0.000)
Sr (0.333, 0.667, 0.500)
Sr (0.667, 0.333, 0.000)
Sr (0.667, 0.333, 0.500)
Sr (0.747, 0.758, 0.250)
Sr (0.758, 0.011, 0.750)
Sr (0.989, 0.747, 0.750)
P (0.031, 0.399, 0.750)
P (0.368, 0.969, 0.750)
P (0.399, 0.368, 0.250)
P (0.601, 0.632, 0.750)
P (0.632, 0.031, 0.250)
P (0.969, 0.601, 0.250)
O (0.084, 0.344, 0.579)
O (0.084, 0.344, 0.921)
O (0.119, 0.582, 0.750)
O (0.150, 0.670, 0.250)
O (0.261, 0.916, 0.579)
O (0.261, 0.916, 0.921)
O (0.330, 0.480, 0.250)
O (0.344, 0.261, 0.079)
O (0.344, 0.261, 0.421)
O (0.418, 0.537, 0.750)
O (0.463, 0.881, 0.750)
O (0.480, 0.150, 0.750)
O (0.520, 0.850, 0.250)
O (0.537, 0.119, 0.250)
O (0.582, 0.463, 0.250)
O (0.656, 0.739, 0.579)
O (0.656, 0.739, 0.921)
O (0.670, 0.520, 0.750)
O (0.739, 0.084, 0.079)
O (0.739, 0.084, 0.421)
O (0.850, 0.330, 0.750)
O (0.881, 0.418, 0.250)
O (0.916, 0.656, 0.079)
O (0.916, 0.656, 0.421)
F (0.000, 0.000, 0.250)
F (0.000, 0.000, 0.750)